Diffraction record for LiCuPO4. The X-ray powder pattern is theoretical, not measured: it uses a GGA-PBE-relaxed structure and λ = 1.5418 Å (Cu Kα).

Crystal structure
```
data_LiCuPO4
_cell_length_a 7.653
_cell_length_b 8.979
_cell_length_c 4.861
_cell_angle_alpha 90.00
_cell_angle_beta 90.00
_cell_angle_gamma 90.00
_symmetry_space_group_name_H-M 'P n a 21'
_symmetry_Int_Tables_number 33
loop_
_symmetry_equiv_pos_as_xyz
'x,y,z'
'-x,-y,z+1/2'
'-x+1/2,y+1/2,z+1/2'
'x+1/2,-y+1/2,z'
loop_
_atom_site_label
_atom_site_fract_x
_atom_site_fract_y
_atom_site_fract_z
Li1 0.041 0.126 0.000
Cu1 0.166 0.542 0.992
P1 0.227 0.353 0.589
O1 0.052 0.433 0.691
O2 0.138 0.957 0.241
O3 0.219 0.194 0.714
O4 0.245 0.849 0.780
```

Largest 10 diffraction maxima, sorted by position, 2θ from 10° to 80°:
- d = 5.825 Å, I = 91, hkl 1 1 0
- d = 4.490 Å, I = 69, hkl 0 2 0
- d = 4.275 Å, I = 100, hkl 0 1 1
- d = 3.827 Å, I = 95, hkl 2 0 0
- d = 3.732 Å, I = 81, hkl 1 1 1
- d = 3.007 Å, I = 39, hkl 2 0 1
- d = 2.549 Å, I = 36, hkl 0 3 1
- d = 2.498 Å, I = 52, hkl 2 2 1
- d = 2.418 Å, I = 79, hkl 1 3 1
- d = 1.727 Å, I = 46, hkl 3 1 2